Starting from a structure optimized by DFT (GGA-PBE), the powder XRD pattern of Pu3Pa2Ge4 was computed for a wavelength of 1.5418 Å.
Lines closer than 0.1° are merged.

The 10 most intense peaks (2θ from 10° to 80°), in order of rising 2θ:
2θ = 26.04°, I 55
2θ = 31.70°, I 45
2θ = 32.74°, I 76
2θ = 33.01°, I 99
2θ = 33.28°, I 44
2θ = 34.45°, I 100
2θ = 35.32°, I 76
2θ = 35.89°, I 56
2θ = 37.30°, I 76
2θ = 38.24°, I 54

Structure:
Cell: 7.796 7.711 7.658 Å, 90.00 115.13 90.00°
Fractional positions:
Pu 0.000 0.000 0.000
Pu 0.000 0.500 0.500
Pu 0.269 0.182 0.808
Pu 0.269 0.318 0.308
Pu 0.731 0.682 0.692
Pu 0.731 0.818 0.192
Pa 0.304 0.693 0.946
Pa 0.304 0.807 0.446
Pa 0.696 0.193 0.554
Pa 0.696 0.307 0.054
Ge 0.009 0.619 0.119
Ge 0.009 0.881 0.619
Ge 0.426 0.022 0.195
Ge 0.426 0.478 0.695
Ge 0.574 0.522 0.305
Ge 0.574 0.978 0.805
Ge 0.991 0.119 0.381
Ge 0.991 0.381 0.881

Starting from a structure optimized by DFT (GGA-PBE), the powder XRD pattern of Pu2Pa3Ge3 was computed for a wavelength of 1.5418 Å.
Lines closer than 0.1° are merged.

The 10 most intense peaks (2θ from 10° to 80°), in order of rising 2θ:
2θ = 20.50°, I 23
2θ = 25.87°, I 36
2θ = 32.54°, I 69
2θ = 33.72°, I 100
2θ = 39.30°, I 57
2θ = 40.53°, I 99
2θ = 53.88°, I 27
2θ = 63.18°, I 18
2θ = 68.02°, I 14
2θ = 69.37°, I 13

Structure:
Cell: 4.958 13.247 5.952 Å, 90.00 112.39 90.00°
Fractional positions:
Pu 0.249 0.132 0.251
Pu 0.249 0.368 0.251
Pu 0.751 0.632 0.749
Pu 0.751 0.868 0.749
Pa 0.251 0.529 0.750
Pa 0.251 0.971 0.750
Pa 0.254 0.250 0.754
Pa 0.746 0.750 0.246
Pa 0.749 0.029 0.250
Pa 0.749 0.471 0.250
Ge 0.249 0.601 0.249
Ge 0.249 0.899 0.249
Ge 0.250 0.750 0.745
Ge 0.750 0.250 0.255
Ge 0.751 0.101 0.751
Ge 0.751 0.399 0.751

Starting from a structure optimized by DFT (GGA-PBE), the powder XRD pattern of PuPaGeRu was computed for a wavelength of 1.5418 Å.
Lines closer than 0.1° are merged.

The 10 most intense peaks (2θ from 10° to 80°), in order of rising 2θ:
2θ = 27.90°, I 24
2θ = 32.86°, I 100
2θ = 33.24°, I 30
2θ = 40.17°, I 13
2θ = 40.53°, I 28
2θ = 45.20°, I 16
2θ = 46.00°, I 15
2θ = 53.09°, I 15
2θ = 56.97°, I 10
2θ = 57.92°, I 13

Structure:
Cell: 3.946 5.816 5.816 Å, 40.35 90.00 90.00°
Fractional positions:
Pu 0.000 0.000 0.000
Pa 0.500 0.287 0.287
Ge 0.500 0.576 0.576
Ru 0.000 0.745 0.745

Starting from a structure optimized by DFT (GGA-PBE), the powder XRD pattern of Pu2PaZn2Ge2 was computed for a wavelength of 1.5418 Å.
Lines closer than 0.1° are merged.

The 10 most intense peaks (2θ from 10° to 80°), in order of rising 2θ:
2θ = 19.42°, I 23
2θ = 25.62°, I 44
2θ = 30.26°, I 24
2θ = 34.33°, I 100
2θ = 36.67°, I 30
2θ = 44.79°, I 72
2θ = 50.49°, I 16
2θ = 57.62°, I 23
2θ = 61.17°, I 23
2θ = 75.80°, I 21

Structure:
Cell: 9.437 9.437 9.437 Å, 24.76 24.76 24.76°
Fractional positions:
Pu 0.151 0.151 0.151
Pu 0.849 0.849 0.849
Pa 0.000 0.000 0.000
Zn 0.407 0.407 0.407
Zn 0.593 0.593 0.593
Ge 0.259 0.259 0.259
Ge 0.741 0.741 0.741

Please write out number 2 again, unchanged.
Starting from a structure optimized by DFT (GGA-PBE), the powder XRD pattern of Pu2Pa3Ge3 was computed for a wavelength of 1.5418 Å.
Lines closer than 0.1° are merged.

The 10 most intense peaks (2θ from 10° to 80°), in order of rising 2θ:
2θ = 20.50°, I 23
2θ = 25.87°, I 36
2θ = 32.54°, I 69
2θ = 33.72°, I 100
2θ = 39.30°, I 57
2θ = 40.53°, I 99
2θ = 53.88°, I 27
2θ = 63.18°, I 18
2θ = 68.02°, I 14
2θ = 69.37°, I 13

Structure:
Cell: 4.958 13.247 5.952 Å, 90.00 112.39 90.00°
Fractional positions:
Pu 0.249 0.132 0.251
Pu 0.249 0.368 0.251
Pu 0.751 0.632 0.749
Pu 0.751 0.868 0.749
Pa 0.251 0.529 0.750
Pa 0.251 0.971 0.750
Pa 0.254 0.250 0.754
Pa 0.746 0.750 0.246
Pa 0.749 0.029 0.250
Pa 0.749 0.471 0.250
Ge 0.249 0.601 0.249
Ge 0.249 0.899 0.249
Ge 0.250 0.750 0.745
Ge 0.750 0.250 0.255
Ge 0.751 0.101 0.751
Ge 0.751 0.399 0.751